For YTaW2O8, a GGA+U-relaxed structure gives the theoretical X-ray powder pattern in this record (a wavelength of 1.5418 Å).
Intensities are scaled so that the largest is 100.

Peak list (12 most intense, 2θ from 10° to 90°, low angle first)
index  Position (°2θ)  d [Å]  I_rel
0 0 1  14.1  6.277  100
1 0 1  22.7  3.923  92
1 1 -1  28.0  3.191  58
-1 1 1  29.5  3.033  57
0 1 2  29.7  3.003  29
1 0 2  33.6  2.671  20
1 2 1  34.3  2.613  63
2 1 0  36.0  2.492  24
1 1 -2  39.2  2.301  23
1 2 2  39.7  2.268  21
2 -1 0  44.0  2.056  21
2 3 0  56.6  1.625  24

Atomic structure:
```
data_YTaW2O8
_symmetry_space_group_name_H-M 'P 1'
_symmetry_Int_Tables_number 1
_symmetry_space_group_name_Hall 'P 1'
_cell_length_a 5.136
_cell_length_b 5.544
_cell_length_c 6.458
_cell_angle_alpha 76.45
_cell_angle_beta 85.79
_cell_angle_gamma 75.25
loop_
_atom_site_label
_atom_site_type_symbol
_atom_site_fract_x
_atom_site_fract_y
_atom_site_fract_z
Y1 Y 0.000 0.000 0.000
Ta1 Ta 0.411 0.063 0.455
W1 W 0.124 0.578 0.587
W2 W 0.663 0.539 0.280
O1 O 0.046 0.366 0.847
O2 O 0.073 0.348 0.377
O3 O 0.207 0.877 0.690
O4 O 0.268 0.818 0.291
O5 O 0.517 0.303 0.585
O6 O 0.619 0.216 0.200
O7 O 0.718 0.770 0.021
O8 O 0.721 0.759 0.490
```